Record 1
Structure and calculated XRD peak list of InIN2O (a PBE-relaxed structure; Cu Kα (λ = 1.5418 Å)).

Peak list (10 most intense, 10° ≤ 2θ ≤ 90°, low angle first)
- 2θ = 30.20°, intensity 55.8
- 2θ = 30.85°, intensity 100.0
- 2θ = 43.23°, intensity 30.8
- 2θ = 45.14°, intensity 13.5
- 2θ = 54.05°, intensity 41.0
- 2θ = 55.28°, intensity 20.2
- 2θ = 62.80°, intensity 9.4
- 2θ = 64.28°, intensity 17.5
- 2θ = 87.47°, intensity 10.9
- 2θ = 88.47°, intensity 11.1

Atomic structure:
abc: 4.185 4.185 4.017
angles: 90.00 90.00 90.00
Element x y z (fractional)
In 0.000 0.000 0.000
I 0.500 0.500 0.500
N 0.000 0.500 0.500
N 0.500 0.000 0.500
O 0.500 0.500 0.000

***

Record 2
Structure and calculated XRD peak list of Rb3Na8Pb2 (a PBE-relaxed structure; Cu Kα (λ = 1.5418 Å)).

Peak list (10 most intense, 10° ≤ 2θ ≤ 90°, low angle first)
- 2θ = 12.98°, intensity 44.9
- 2θ = 14.48°, intensity 60.7
- 2θ = 17.97°, intensity 88.4
- 2θ = 20.91°, intensity 30.0
- 2θ = 24.93°, intensity 100.0
- 2θ = 28.20°, intensity 57.7
- 2θ = 30.90°, intensity 51.7
- 2θ = 36.42°, intensity 79.9
- 2θ = 40.14°, intensity 40.0
- 2θ = 41.63°, intensity 27.3

Atomic structure:
abc: 14.251 14.251 14.251
angles: 29.03 29.03 29.03
Element x y z (fractional)
Rb 0.000 0.000 0.000
Rb 0.246 0.246 0.246
Rb 0.754 0.754 0.754
Na 0.197 0.705 0.705
Na 0.295 0.295 0.803
Na 0.295 0.803 0.295
Na 0.332 0.332 0.332
Na 0.668 0.668 0.668
Na 0.705 0.197 0.705
Na 0.705 0.705 0.197
Na 0.803 0.295 0.295
Pb 0.406 0.406 0.406
Pb 0.594 0.594 0.594

***

Record 3
Structure and calculated XRD peak list of Pr5Nd3Sm3 (a PBE-relaxed structure; Cu Kα (λ = 1.5418 Å)).

Peak list (10 most intense, 10° ≤ 2θ ≤ 90°, low angle first)
- 2θ = 23.60°, intensity 37.1
- 2θ = 26.82°, intensity 88.1
- 2θ = 29.88°, intensity 94.3
- 2θ = 31.06°, intensity 34.4
- 2θ = 32.36°, intensity 100.0
- 2θ = 34.99°, intensity 75.6
- 2θ = 40.58°, intensity 84.3
- 2θ = 47.48°, intensity 40.8
- 2θ = 61.79°, intensity 42.1
- 2θ = 62.85°, intensity 29.6

Atomic structure:
abc: 11.516 11.516 3.499
angles: 90.00 90.00 120.00
Element x y z (fractional)
Pr 0.000 0.661 0.000
Pr 0.333 0.667 0.000
Pr 0.339 0.339 0.000
Pr 0.661 0.000 0.000
Pr 0.667 0.333 0.000
Nd 0.000 0.402 0.500
Nd 0.402 0.000 0.500
Nd 0.598 0.598 0.500
Sm 0.000 0.160 0.000
Sm 0.160 0.000 0.000
Sm 0.840 0.840 0.000

***

Record 4
Structure and calculated XRD peak list of TiCuH (a PBE-relaxed structure; Cu Kα (λ = 1.5418 Å)).

Peak list (10 most intense, 10° ≤ 2θ ≤ 90°, low angle first)
- 2θ = 23.63°, intensity 2.7
- 2θ = 31.42°, intensity 3.9
- 2θ = 39.69°, intensity 100.0
- 2θ = 45.03°, intensity 35.5
- 2θ = 48.34°, intensity 14.2
- 2θ = 65.57°, intensity 10.3
- 2θ = 68.20°, intensity 18.2
- 2θ = 79.45°, intensity 22.3
- 2θ = 84.33°, intensity 9.5
- 2θ = 85.52°, intensity 9.3

Atomic structure:
abc: 2.847 2.847 3.765
angles: 90.00 90.00 90.00
Element x y z (fractional)
Ti 0.000 0.000 0.000
Cu 0.500 0.500 0.500
H 0.500 0.500 0.000

***

Record 5
Structure and calculated XRD peak list of Ba4PF5 (a PBE-relaxed structure; Cu Kα (λ = 1.5418 Å)).

Peak list (10 most intense, 10° ≤ 2θ ≤ 90°, low angle first)
- 2θ = 21.05°, intensity 38.9
- 2θ = 23.26°, intensity 52.7
- 2θ = 23.77°, intensity 56.1
- 2θ = 25.48°, intensity 73.4
- 2θ = 26.17°, intensity 29.0
- 2θ = 27.13°, intensity 42.7
- 2θ = 31.09°, intensity 100.0
- 2θ = 41.33°, intensity 29.1
- 2θ = 41.81°, intensity 30.0
- 2θ = 43.19°, intensity 91.3

Atomic structure:
abc: 8.739 8.739 7.907
angles: 116.84 116.84 28.95
Element x y z (fractional)
Ba 0.000 0.000 0.232
Ba 0.000 0.000 0.768
Ba 0.291 0.291 0.291
Ba 0.709 0.709 0.709
P 0.500 0.500 0.500
F 0.180 0.180 0.462
F 0.180 0.180 0.899
F 0.500 0.500 0.000
F 0.820 0.820 0.101
F 0.820 0.820 0.538

***

Record 6
Structure and calculated XRD peak list of AlAgPdF6 (a PBE-relaxed structure; Cu Kα (λ = 1.5418 Å)).

Peak list (10 most intense, 10° ≤ 2θ ≤ 90°, low angle first)
- 2θ = 19.82°, intensity 22.8
- 2θ = 24.98°, intensity 100.0
- 2θ = 32.75°, intensity 65.9
- 2θ = 35.62°, intensity 14.2
- 2θ = 41.09°, intensity 15.7
- 2θ = 49.16°, intensity 61.0
- 2θ = 51.26°, intensity 18.7
- 2θ = 57.85°, intensity 12.7
- 2θ = 62.17°, intensity 19.5
- 2θ = 62.76°, intensity 12.7

Atomic structure:
abc: 5.041 5.041 9.766
angles: 90.00 90.00 90.00
Element x y z (fractional)
Al 0.000 0.000 0.000
Al 0.500 0.500 0.500
Ag 0.000 0.000 0.339
Ag 0.500 0.500 0.839
Pd 0.000 0.000 0.660
Pd 0.500 0.500 0.160
F 0.170 0.170 0.855
F 0.188 0.188 0.130
F 0.244 0.244 0.509
F 0.256 0.744 0.009
F 0.312 0.688 0.630
F 0.330 0.670 0.355
F 0.670 0.330 0.355
F 0.688 0.312 0.630
F 0.744 0.256 0.009
F 0.756 0.756 0.509
F 0.812 0.812 0.130
F 0.830 0.830 0.855

***

Record 7
Structure and calculated XRD peak list of Ce7Si5Sn (a PBE-relaxed structure; Cu Kα (λ = 1.5418 Å)).

Peak list (10 most intense, 10° ≤ 2θ ≤ 90°, low angle first)
- 2θ = 24.34°, intensity 46.6
- 2θ = 29.48°, intensity 100.0
- 2θ = 30.22°, intensity 83.2
- 2θ = 30.51°, intensity 67.6
- 2θ = 34.51°, intensity 73.8
- 2θ = 35.01°, intensity 35.2
- 2θ = 39.17°, intensity 60.6
- 2θ = 46.24°, intensity 36.2
- 2θ = 46.79°, intensity 28.8
- 2θ = 61.18°, intensity 27.1

Atomic structure:
abc: 7.895 7.895 7.895
angles: 135.99 95.84 100.31
Element x y z (fractional)
Ce 0.000 0.000 0.000
Ce 0.001 0.690 0.312
Ce 0.378 0.690 0.688
Ce 0.379 0.379 0.000
Ce 0.525 0.025 0.500
Ce 0.575 0.241 0.334
Ce 0.907 0.241 0.666
Si 0.213 0.164 0.466
Si 0.213 0.747 0.048
Si 0.698 0.164 0.952
Si 0.698 0.747 0.534
Si 0.977 0.477 0.500
Sn 0.694 0.694 0.000

***

Record 8
Structure and calculated XRD peak list of Dy6PuSc (a PBE-relaxed structure; Cu Kα (λ = 1.5418 Å)).

Peak list (10 most intense, 10° ≤ 2θ ≤ 90°, low angle first)
- 2θ = 20.68°, intensity 18.8
- 2θ = 27.93°, intensity 26.3
- 2θ = 30.53°, intensity 24.3
- 2θ = 30.70°, intensity 83.0
- 2θ = 31.75°, intensity 100.0
- 2θ = 31.96°, intensity 25.6
- 2θ = 32.62°, intensity 22.6
- 2θ = 38.76°, intensity 24.6
- 2θ = 39.47°, intensity 23.1
- 2θ = 66.79°, intensity 21.3

Atomic structure:
abc: 6.450 11.637 6.392
angles: 90.00 91.94 90.00
Element x y z (fractional)
Dy 0.031 0.000 0.252
Dy 0.180 0.275 0.250
Dy 0.180 0.725 0.250
Dy 0.320 0.225 0.750
Dy 0.320 0.775 0.750
Dy 0.469 0.500 0.748
Dy 0.531 0.500 0.252
Dy 0.680 0.225 0.250
Dy 0.680 0.775 0.250
Dy 0.820 0.275 0.750
Dy 0.820 0.725 0.750
Dy 0.969 0.000 0.748
Pu 0.000 0.500 0.000
Pu 0.500 0.000 0.000
Sc 0.000 0.500 0.500
Sc 0.500 0.000 0.500

***

Record 9
Structure and calculated XRD peak list of TbTmTe2S (a PBE-relaxed structure; Cu Kα (λ = 1.5418 Å)).

Peak list (10 most intense, 10° ≤ 2θ ≤ 90°, low angle first)
- 2θ = 22.90°, intensity 26.4
- 2θ = 23.32°, intensity 20.3
- 2θ = 26.66°, intensity 35.6
- 2θ = 28.83°, intensity 100.0
- 2θ = 37.13°, intensity 46.1
- 2θ = 40.47°, intensity 31.1
- 2θ = 41.22°, intensity 59.3
- 2θ = 45.67°, intensity 19.4
- 2θ = 59.15°, intensity 20.5
- 2θ = 67.65°, intensity 22.1

Atomic structure:
abc: 4.379 4.379 15.536
angles: 90.00 90.00 90.00
Element x y z (fractional)
Tb 0.250 0.250 0.102
Tb 0.750 0.750 0.898
Tm 0.250 0.250 0.613
Tm 0.750 0.750 0.387
Te 0.250 0.250 0.409
Te 0.250 0.250 0.798
Te 0.750 0.750 0.202
Te 0.750 0.750 0.591
S 0.250 0.750 0.000
S 0.750 0.250 0.000

***

Record 10
Structure and calculated XRD peak list of MgMn5N4 (a PBE-relaxed structure; Cu Kα (λ = 1.5418 Å)).

Peak list (10 most intense, 10° ≤ 2θ ≤ 90°, low angle first)
- 2θ = 23.88°, intensity 16.1
- 2θ = 29.59°, intensity 24.7
- 2θ = 37.43°, intensity 86.7
- 2θ = 38.01°, intensity 40.2
- 2θ = 38.79°, intensity 33.4
- 2θ = 41.91°, intensity 100.0
- 2θ = 52.13°, intensity 19.9
- 2θ = 55.43°, intensity 45.1
- 2θ = 75.32°, intensity 15.6
- 2θ = 77.14°, intensity 20.7

Atomic structure:
abc: 6.038 7.264 4.734
angles: 90.00 90.00 90.00
Element x y z (fractional)
Mg 0.250 0.250 0.220
Mg 0.750 0.750 0.780
Mn 0.025 0.076 0.758
Mn 0.025 0.424 0.758
Mn 0.250 0.750 0.816
Mn 0.475 0.076 0.758
Mn 0.475 0.424 0.758
Mn 0.525 0.576 0.242
Mn 0.525 0.924 0.242
Mn 0.750 0.250 0.184
Mn 0.975 0.576 0.242
Mn 0.975 0.924 0.242
N 0.031 0.750 0.528
N 0.250 0.521 0.030
N 0.250 0.979 0.030
N 0.469 0.750 0.528
N 0.531 0.250 0.472
N 0.750 0.021 0.970
N 0.750 0.479 0.970
N 0.969 0.250 0.472

***

Record 11
Structure and calculated XRD peak list of TlGe2AsS6 (a PBE-relaxed structure; Cu Kα (λ = 1.5418 Å)).

Peak list (10 most intense, 10° ≤ 2θ ≤ 90°, low angle first)
- 2θ = 10.31°, intensity 24.0
- 2θ = 20.70°, intensity 34.4
- 2θ = 21.18°, intensity 100.0
- 2θ = 27.35°, intensity 40.6
- 2θ = 27.72°, intensity 27.0
- 2θ = 30.19°, intensity 27.9
- 2θ = 31.26°, intensity 24.8
- 2θ = 35.70°, intensity 30.2
- 2θ = 39.93°, intensity 36.8
- 2θ = 44.11°, intensity 27.8

Atomic structure:
abc: 9.294 9.294 6.977
angles: 111.26 111.26 75.66
Element x y z (fractional)
Tl 0.149 0.851 0.750
Tl 0.851 0.149 0.250
Ge 0.160 0.384 0.129
Ge 0.384 0.160 0.629
Ge 0.616 0.840 0.371
Ge 0.840 0.616 0.871
As 0.237 0.763 0.250
As 0.763 0.237 0.750
S 0.098 0.566 0.894
S 0.176 0.260 0.410
S 0.260 0.176 0.910
S 0.293 0.571 0.409
S 0.429 0.707 0.091
S 0.434 0.902 0.606
S 0.566 0.098 0.394
S 0.571 0.293 0.909
S 0.707 0.429 0.591
S 0.740 0.824 0.090
S 0.824 0.740 0.590
S 0.902 0.434 0.106

***

Record 12
Structure and calculated XRD peak list of Cd2CuIr (a PBE-relaxed structure; Cu Kα (λ = 1.5418 Å)).

Peak list (10 most intense, 10° ≤ 2θ ≤ 90°, low angle first)
- 2θ = 15.37°, intensity 26.7
- 2θ = 27.57°, intensity 13.7
- 2θ = 37.97°, intensity 100.0
- 2θ = 38.81°, intensity 94.0
- 2θ = 43.43°, intensity 34.0
- 2θ = 43.93°, intensity 32.9
- 2θ = 46.47°, intensity 27.9
- 2θ = 65.48°, intensity 19.4
- 2θ = 65.86°, intensity 19.1
- 2θ = 76.24°, intensity 13.4

Atomic structure:
abc: 2.980 3.909 5.767
angles: 90.00 90.63 90.00
Element x y z (fractional)
Cd 0.002 0.000 0.250
Cd 0.998 0.000 0.750
Cu 0.500 0.500 0.500
Ir 0.500 0.500 0.000

***

Record 13
Structure and calculated XRD peak list of Na2GeS3O7 (a PBE-relaxed structure; Cu Kα (λ = 1.5418 Å)).

Peak list (10 most intense, 10° ≤ 2θ ≤ 90°, low angle first)
- 2θ = 11.28°, intensity 43.1
- 2θ = 15.03°, intensity 71.0
- 2θ = 18.07°, intensity 100.0
- 2θ = 19.65°, intensity 26.9
- 2θ = 20.40°, intensity 33.7
- 2θ = 22.65°, intensity 28.4
- 2θ = 28.17°, intensity 27.5
- 2θ = 29.99°, intensity 47.5
- 2θ = 30.21°, intensity 25.5
- 2θ = 33.89°, intensity 32.2

Atomic structure:
abc: 6.772 9.204 9.277
angles: 116.22 100.43 101.02
Element x y z (fractional)
Na 0.099 0.473 0.198
Na 0.342 0.465 0.634
Na 0.658 0.535 0.366
Na 0.901 0.527 0.802
Ge 0.328 0.858 0.820
Ge 0.672 0.142 0.180
S 0.193 0.243 0.836
S 0.221 0.869 0.557
S 0.293 0.084 0.082
S 0.707 0.916 0.918
S 0.779 0.131 0.443
S 0.807 0.757 0.164
O 0.001 0.750 0.483
O 0.052 0.346 0.888
O 0.213 0.674 0.811
O 0.280 0.253 0.079
O 0.373 0.611 0.463
O 0.384 0.777 0.472
O 0.388 0.328 0.822
O 0.612 0.672 0.178
O 0.616 0.223 0.528
O 0.627 0.389 0.537
O 0.720 0.747 0.921
O 0.787 0.326 0.189
O 0.948 0.654 0.112
O 0.999 0.250 0.517